Starting from a crystal structure in the Materials Project, relaxed with GGA-PBE, the X-ray powder pattern of Ho6MnGe2S14 was simulated for a wavelength of 1.5418 Å.
Kinematic intensities with the Lorentz-polarization factor, no thermal factor.

abc: 9.7890 9.7890 5.8035
angles: 90.00 90.00 120.00
Space group P3 (No. 143)
One atom of each set of equivalent atoms:
Ho  0.0240  0.4692  0.0000 (multiplicity 3)
Ho  0.3078  0.1967  0.5015 (multiplicity 3)
Mn  0.6667  0.3333  0.2887 (multiplicity 1)
Ge  0.0000  0.0000  0.9241 (multiplicity 1)
Ge  0.3333  0.6667  0.4217 (multiplicity 1)
S  0.0000  0.0000  0.3038 (multiplicity 1)
S  0.0896  0.2378  0.7615 (multiplicity 3)
S  0.1856  0.7567  0.2589 (multiplicity 3)
S  0.3333  0.6667  0.8021 (multiplicity 1)
S  0.4161  0.2346  0.0560 (multiplicity 3)
S  0.5131  0.0823  0.5400 (multiplicity 3)

Top 8 peaks for 10° ≤ 2θ ≤ 80°, low angle first:
(hkl)  2θ/deg  intensity
2 0 0  20.96  26.8
1 1 1  23.78  22.5
0 2 1  26.03  100.0
2 2 0  36.72  38.4
2 0 2  37.56  31.8
3 1 0  38.28  22.0
4 -1 1  41.44  25.1
5 -4 1  51.92  35.7